Entry 1:
# BiH4Pd4
Calculated powder XRD pattern, a wavelength of 1.5418 Å. Input: the PBE geometry in Alexandria.
Peak positions follow from Bragg's law for the DFT cell and can differ from measured ones.

Cell and atoms:
```
data_BiH4Pd4
_cell_length_a 7.270
_cell_length_b 7.270
_cell_length_c 3.785
_cell_angle_alpha 90.00
_cell_angle_beta 90.00
_cell_angle_gamma 90.00
_space_group_name_H-M_alt 'I 4/m'
_space_group_IT_number 87
_space_group_name_Hall '-I 4'
loop_
_atom_site_label
_atom_site_fract_x
_atom_site_fract_y
_atom_site_fract_z
_atom_site_occupancy
Bi1 0.000 0.000 0.000 1
H1 0.147 0.675 0.500 1
Pd1 0.109 0.307 0.500 1
```

Top 6 peaks for 10° ≤ 2θ ≤ 80°, in order of rising 2θ:
(2 1 1), d = 2.466 Å, rel. 100
(1 3 0), d = 2.299 Å, rel. 43
(0 0 2), d = 1.892 Å, rel. 12
(4 2 0), d = 1.626 Å, rel. 14
(1 3 2), d = 1.461 Å, rel. 20
(5 0 1), d = 1.357 Å, rel. 31

---

Entry 2:
# Bi2H2Pd5
Calculated powder XRD pattern, a wavelength of 1.5418 Å. Input: the PBE geometry in Alexandria.
Peak positions follow from Bragg's law for the DFT cell and can differ from measured ones.

Cell and atoms:
```
data_Bi2H2Pd5
_cell_length_a 11.011
_cell_length_b 4.206
_cell_length_c 6.551
_cell_angle_alpha 90.00
_cell_angle_beta 109.95
_cell_angle_gamma 90.00
_space_group_name_H-M_alt 'C 1 2/m 1'
_space_group_IT_number 12
loop_
_space_group_symop_operation_xyz
'x,y,z'
'-x,-y,-z'
'-x,y,-z'
'x,-y,z'
'x+1/2,y+1/2,z'
'-x+1/2,-y+1/2,-z'
'-x+1/2,y+1/2,-z'
'x+1/2,-y+1/2,z'
loop_
_atom_site_label
_atom_site_fract_x
_atom_site_fract_y
_atom_site_fract_z
_atom_site_occupancy
Bi1 0.110 0.000 0.349 1
H1 0.159 0.500 0.957 1
Pd1 0.000 0.500 0.000 1
Pd2 0.124 0.500 0.645 1
Pd3 0.158 0.000 0.948 1
```

Top 6 peaks for 10° ≤ 2θ ≤ 80°, in order of rising 2θ:
(1 1 1), d = 3.117 Å, rel. 40
(4 0 0), d = 2.584 Å, rel. 100
(3 1 -2), d = 2.345 Å, rel. 81
(3 1 1), d = 2.241 Å, rel. 58
(0 2 0), d = 2.103 Å, rel. 46
(0 0 3), d = 2.053 Å, rel. 32

---

Entry 3:
# Bi3HPd7
Calculated powder XRD pattern, a wavelength of 1.5418 Å. Input: the PBE geometry in Alexandria.
Peak positions follow from Bragg's law for the DFT cell and can differ from measured ones.

Cell and atoms:
```
data_Bi3HPd7
_cell_length_a 7.259
_cell_length_b 5.846
_cell_length_c 9.222
_cell_angle_alpha 90.00
_cell_angle_beta 92.23
_cell_angle_gamma 90.00
_space_group_name_H-M_alt 'P 1 m 1'
_space_group_IT_number 6
loop_
_space_group_symop_operation_xyz
'x,y,z'
'x,-y,z'
loop_
_atom_site_label
_atom_site_fract_x
_atom_site_fract_y
_atom_site_fract_z
_atom_site_occupancy
Bi1 0.000 0.000 0.000 1
Bi2 0.143 0.500 0.311 1
Bi3 0.293 0.000 0.614 1
Bi4 0.482 0.000 0.126 1
Bi5 0.626 0.500 0.759 1
Bi6 0.807 0.000 0.493 1
H1 0.163 0.500 0.838 1
H2 0.657 0.500 0.264 1
Pd1 0.040 0.500 0.010 1
Pd2 0.140 0.000 0.310 1
Pd3 0.256 0.500 0.610 1
Pd4 0.328 0.249 0.882 1
Pd5 0.469 0.500 0.128 1
Pd6 0.477 0.252 0.403 1
Pd7 0.656 0.000 0.839 1
Pd8 0.804 0.500 0.487 1
Pd9 0.808 0.252 0.211 1
Pd10 0.963 0.253 0.733 1
```

Top 6 peaks for 10° ≤ 2θ ≤ 80°, in order of rising 2θ:
(1 0 3), d = 2.791 Å, rel. 55
(3 0 -1), d = 2.361 Å, rel. 76
(1 2 -2), d = 2.351 Å, rel. 72
(3 0 1), d = 2.320 Å, rel. 82
(1 0 -4), d = 2.221 Å, rel. 100
(2 2 1), d = 2.197 Å, rel. 68

---

Entry 4:
# Bi2H2Pd3
Calculated powder XRD pattern, a wavelength of 1.5418 Å. Input: the PBE geometry in Alexandria.
Peak positions follow from Bragg's law for the DFT cell and can differ from measured ones.

Cell and atoms:
```
data_Bi2H2Pd3
_cell_length_a 4.927
_cell_length_b 7.105
_cell_length_c 7.213
_cell_angle_alpha 90.00
_cell_angle_beta 108.62
_cell_angle_gamma 90.00
_space_group_name_H-M_alt 'P 1 21/c 1'
_space_group_IT_number 14
loop_
_space_group_symop_operation_xyz
'x,y,z'
'-x,-y,-z'
'-x,y+1/2,-z+1/2'
'x,-y+1/2,z+1/2'
loop_
_atom_site_label
_atom_site_fract_x
_atom_site_fract_y
_atom_site_fract_z
_atom_site_occupancy
Bi1 0.189 0.139 0.395 1
H1 0.324 0.610 0.510 1
Pd1 0.000 0.000 0.000 1
Pd2 0.394 0.503 0.286 1
```

Top 6 peaks for 10° ≤ 2θ ≤ 80°, in order of rising 2θ:
(1 1 0), d = 3.902 Å, rel. 86
(0 1 2), d = 3.080 Å, rel. 54
(1 2 -1), d = 2.812 Å, rel. 69
(1 0 2), d = 2.416 Å, rel. 100
(2 1 -1), d = 2.327 Å, rel. 93
(1 1 -3), d = 2.246 Å, rel. 83

---

Entry 5:
# Bi5HPd3
Calculated powder XRD pattern, a wavelength of 1.5418 Å. Input: the PBE geometry in Alexandria.
Peak positions follow from Bragg's law for the DFT cell and can differ from measured ones.

Cell and atoms:
```
data_Bi5HPd3
_cell_length_a 12.198
_cell_length_b 8.779
_cell_length_c 8.606
_cell_angle_alpha 90.00
_cell_angle_beta 103.20
_cell_angle_gamma 90.00
_space_group_name_H-M_alt 'C 1 2/m 1'
_space_group_IT_number 12
loop_
_space_group_symop_operation_xyz
'x,y,z'
'-x,-y,-z'
'-x,y,-z'
'x,-y,z'
'x+1/2,y+1/2,z'
'-x+1/2,-y+1/2,-z'
'-x+1/2,y+1/2,-z'
'x+1/2,-y+1/2,z'
loop_
_atom_site_label
_atom_site_fract_x
_atom_site_fract_y
_atom_site_fract_z
_atom_site_occupancy
Bi1 0.000 0.194 0.000 1
Bi2 0.046 0.000 0.346 1
Bi3 0.160 0.281 0.669 1
Bi4 0.222 0.500 0.115 1
H1 0.088 0.500 0.365 1
Pd1 0.000 0.500 0.000 1
Pd2 0.000 0.500 0.500 1
Pd3 0.192 0.000 0.150 1
Pd4 0.233 0.500 0.464 1
```

Top 6 peaks for 10° ≤ 2θ ≤ 80°, in order of rising 2θ:
(2 0 -2), d = 3.864 Å, rel. 35
(2 2 1), d = 3.106 Å, rel. 100
(2 2 -2), d = 2.900 Å, rel. 30
(4 2 -1), d = 2.488 Å, rel. 32
(0 2 3), d = 2.354 Å, rel. 45
(4 0 2), d = 2.196 Å, rel. 57

---

Entry 6:
# BiHPd5
Calculated powder XRD pattern, a wavelength of 1.5418 Å. Input: the PBE geometry in Alexandria.
Peak positions follow from Bragg's law for the DFT cell and can differ from measured ones.

Cell and atoms:
```
data_BiHPd5
_cell_length_a 8.848
_cell_length_b 8.755
_cell_length_c 7.305
_cell_angle_alpha 90.00
_cell_angle_beta 125.51
_cell_angle_gamma 90.00
_space_group_name_H-M_alt 'C 1 2/c 1'
_space_group_IT_number 15
loop_
_space_group_symop_operation_xyz
'x,y,z'
'-x,-y,-z'
'-x,y,-z+1/2'
'x,-y,z+1/2'
'x+1/2,y+1/2,z'
'-x+1/2,-y+1/2,-z'
'-x+1/2,y+1/2,-z+1/2'
'x+1/2,-y+1/2,z+1/2'
loop_
_atom_site_label
_atom_site_fract_x
_atom_site_fract_y
_atom_site_fract_z
_atom_site_occupancy
Bi1 0.000 0.085 0.250 1
H1 0.250 0.250 0.000 1
Pd1 0.000 0.354 0.750 1
Pd2 0.118 0.372 0.479 1
Pd3 0.240 0.137 0.780 1
```

Top 6 peaks for 10° ≤ 2θ ≤ 80°, in order of rising 2θ:
(1 1 -2), d = 3.312 Å, rel. 40
(2 2 -1), d = 3.111 Å, rel. 40
(4 0 -2), d = 2.210 Å, rel. 62
(0 4 0), d = 2.189 Å, rel. 39
(2 2 1), d = 2.173 Å, rel. 100
(2 2 -3), d = 2.127 Å, rel. 80

---

Entry 7:
# BiH6Pd4
Calculated powder XRD pattern, a wavelength of 1.5418 Å. Input: the PBE geometry in Alexandria.
Peak positions follow from Bragg's law for the DFT cell and can differ from measured ones.

Cell and atoms:
```
data_BiH6Pd4
_cell_length_a 8.104
_cell_length_b 8.855
_cell_length_c 3.683
_cell_angle_alpha 90.00
_cell_angle_beta 117.04
_cell_angle_gamma 90.00
_space_group_name_H-M_alt 'C 1 2 1'
_space_group_IT_number 5
loop_
_space_group_symop_operation_xyz
'x,y,z'
'-x,y,-z'
'x+1/2,y+1/2,z'
'-x+1/2,y+1/2,-z'
loop_
_atom_site_label
_atom_site_fract_x
_atom_site_fract_y
_atom_site_fract_z
_atom_site_occupancy
Bi1 0.000 0.000 0.000 1
H1 0.000 0.534 0.500 1
H2 0.000 0.821 0.500 1
H3 0.150 0.357 0.149 1
H4 0.243 0.691 0.242 1
Pd1 0.000 0.249 0.500 1
Pd2 0.000 0.509 0.000 1
Pd3 0.201 0.700 0.700 1
```

Top 6 peaks for 10° ≤ 2θ ≤ 80°, in order of rising 2θ:
(2 2 0), d = 2.797 Å, rel. 34
(0 2 1), d = 2.636 Å, rel. 100
(3 1 -1), d = 2.475 Å, rel. 30
(0 4 0), d = 2.214 Å, rel. 18
(3 3 -1), d = 1.941 Å, rel. 18
(4 2 -1), d = 1.834 Å, rel. 21

---

Entry 8:
# Bi2H2Pd3
Calculated powder XRD pattern, a wavelength of 1.5418 Å. Input: the PBE geometry in Alexandria.
Peak positions follow from Bragg's law for the DFT cell and can differ from measured ones.

Cell and atoms:
```
data_Bi2H2Pd3
_cell_length_a 10.047
_cell_length_b 3.409
_cell_length_c 7.505
_cell_angle_alpha 90.00
_cell_angle_beta 120.08
_cell_angle_gamma 90.00
_space_group_name_H-M_alt 'C 1 2/m 1'
_space_group_IT_number 12
loop_
_space_group_symop_operation_xyz
'x,y,z'
'-x,-y,-z'
'-x,y,-z'
'x,-y,z'
'x+1/2,y+1/2,z'
'-x+1/2,-y+1/2,-z'
'-x+1/2,y+1/2,-z'
'x+1/2,-y+1/2,z'
loop_
_atom_site_label
_atom_site_fract_x
_atom_site_fract_y
_atom_site_fract_z
_atom_site_occupancy
Bi1 0.074 0.000 0.351 1
H1 0.203 0.500 0.069 1
Pd1 0.000 0.500 0.000 1
Pd2 0.210 0.500 0.813 1
```

Top 6 peaks for 10° ≤ 2θ ≤ 80°, in order of rising 2θ:
(1 1 1), d = 2.665 Å, rel. 100
(2 0 -3), d = 2.502 Å, rel. 39
(4 0 -1), d = 2.466 Å, rel. 46
(3 1 -2), d = 2.274 Å, rel. 72
(2 0 2), d = 2.138 Å, rel. 17
(4 2 -1), d = 1.402 Å, rel. 16

---

Entry 9:
# BiH6PdPt2
Calculated powder XRD pattern, a wavelength of 1.5418 Å. Input: the PBE geometry in Alexandria.
Peak positions follow from Bragg's law for the DFT cell and can differ from measured ones.

Cell and atoms:
```
data_BiH6PdPt2
_cell_length_a 7.552
_cell_length_b 9.566
_cell_length_c 5.932
_cell_angle_alpha 90.00
_cell_angle_beta 108.00
_cell_angle_gamma 90.00
_space_group_name_H-M_alt 'C 1 2/c 1'
_space_group_IT_number 15
loop_
_space_group_symop_operation_xyz
'x,y,z'
'-x,-y,-z'
'-x,y,-z+1/2'
'x,-y,z+1/2'
'x+1/2,y+1/2,z'
'-x+1/2,-y+1/2,-z'
'-x+1/2,y+1/2,-z+1/2'
'x+1/2,-y+1/2,z+1/2'
loop_
_atom_site_label
_atom_site_fract_x
_atom_site_fract_y
_atom_site_fract_z
_atom_site_occupancy
Bi1 0.000 0.133 0.250 1
H1 0.070 0.397 0.074 1
H2 0.147 0.311 0.697 1
H3 0.237 0.036 0.610 1
Pd1 0.000 0.448 0.750 1
Pt1 0.199 0.148 0.806 1
```

Top 6 peaks for 10° ≤ 2θ ≤ 80°, in order of rising 2θ:
(1 3 0), d = 2.914 Å, rel. 52
(2 2 -1), d = 2.861 Å, rel. 98
(0 0 2), d = 2.821 Å, rel. 100
(3 1 -1), d = 2.418 Å, rel. 48
(2 2 1), d = 2.336 Å, rel. 97
(1 3 -2), d = 2.167 Å, rel. 58

---

Entry 10:
# SnBi2H2Pd7
Calculated powder XRD pattern, a wavelength of 1.5418 Å. Input: the PBE geometry in Alexandria.
Peak positions follow from Bragg's law for the DFT cell and can differ from measured ones.

Cell and atoms:
```
data_SnBi2H2Pd7
_cell_length_a 5.764
_cell_length_b 5.765
_cell_length_c 11.787
_cell_angle_alpha 90.00
_cell_angle_beta 104.04
_cell_angle_gamma 90.00
_space_group_name_H-M_alt 'C 1 2/m 1'
_space_group_IT_number 12
loop_
_space_group_symop_operation_xyz
'x,y,z'
'-x,-y,-z'
'-x,y,-z'
'x,-y,z'
'x+1/2,y+1/2,z'
'-x+1/2,-y+1/2,-z'
'-x+1/2,y+1/2,-z'
'x+1/2,-y+1/2,z'
loop_
_atom_site_label
_atom_site_fract_x
_atom_site_fract_y
_atom_site_fract_z
_atom_site_occupancy
Sn1 0.000 0.000 0.000 1
Bi1 0.198 0.000 0.398 1
H1 0.086 0.500 0.177 1
Pd1 0.000 0.500 0.000 1
Pd2 0.163 0.250 0.825 1
Pd3 0.175 0.500 0.351 1
```

Top 6 peaks for 10° ≤ 2θ ≤ 80°, in order of rising 2θ:
(2 0 -2), d = 2.795 Å, rel. 31
(2 0 -3), d = 2.574 Å, rel. 39
(2 0 2), d = 2.299 Å, rel. 100
(2 2 -1), d = 2.038 Å, rel. 58
(2 2 -6), d = 1.521 Å, rel. 25
(4 2 1), d = 1.221 Å, rel. 26

---

Entry 11:
# Pm4Bi2H9
Calculated powder XRD pattern, a wavelength of 1.5418 Å. Input: the PBE geometry in Alexandria.
Peak positions follow from Bragg's law for the DFT cell and can differ from measured ones.

Cell and atoms:
```
data_Pm4Bi2H9
_cell_length_a 3.7954
_cell_length_b 3.7954
_cell_length_c 17.2844
_cell_angle_alpha 90.00
_cell_angle_beta 90.00
_cell_angle_gamma 120.00
_space_group_name_H-M_alt 'P -3 m 1'
_space_group_IT_number 164
_space_group_name_Hall '-P 3 2"'
loop_
_atom_site_label
_atom_site_fract_x
_atom_site_fract_y
_atom_site_fract_z
_atom_site_occupancy
Pm1 0.3333 0.6667 0.0956 1
Pm2 0.3333 0.6667 0.4105 1
Bi1 0.3333 0.6667 0.7541 1
H1 0.0000 0.0000 0.0867 1
H2 0.0000 0.0000 0.3746 1
H3 0.0000 0.0000 0.5000 1
H4 0.3333 0.6667 0.5478 1
H5 0.3333 0.6667 0.9597 1
```

Top 6 peaks for 10° ≤ 2θ ≤ 80°, in order of rising 2θ:
(1 0 0), d = 3.287 Å, rel. 24
(0 0 6), d = 2.881 Å, rel. 22
(0 1 3), d = 2.855 Å, rel. 100
(1 1 0), d = 1.898 Å, rel. 22
(1 1 6), d = 1.585 Å, rel. 22
(2 0 3), d = 1.580 Å, rel. 17

---

Entry 12:
# PmBiH
Calculated powder XRD pattern, a wavelength of 1.5418 Å. Input: the PBE geometry in Alexandria.
Peak positions follow from Bragg's law for the DFT cell and can differ from measured ones.

Cell and atoms:
```
data_PmBiH
_cell_length_a 4.547
_cell_length_b 4.547
_cell_length_c 13.938
_cell_angle_alpha 90.00
_cell_angle_beta 90.00
_cell_angle_gamma 90.00
_space_group_name_H-M_alt 'I 4/m m m'
_space_group_IT_number 139
_space_group_name_Hall '-I 4 2'
loop_
_atom_site_label
_atom_site_fract_x
_atom_site_fract_y
_atom_site_fract_z
_atom_site_occupancy
Pm1 0.000 0.000 0.170 1
Bi1 0.000 0.500 0.000 1
H1 0.000 0.500 0.250 1
```

Top 6 peaks for 10° ≤ 2θ ≤ 80°, in order of rising 2θ:
(0 0 2), d = 6.969 Å, rel. 36
(1 0 3), d = 3.250 Å, rel. 36
(1 1 2), d = 2.920 Å, rel. 100
(1 1 4), d = 2.363 Å, rel. 51
(2 0 0), d = 2.274 Å, rel. 39
(2 0 6), d = 1.625 Å, rel. 28